Structure and calculated powder XRD pattern of YTa2W (the GGA-PBE geometry in Alexandria; Cu Kα).
Peak positions follow from Bragg's law for the DFT cell and can differ from measured ones.

Largest 8 diffraction maxima, by intensity, 10° ≤ 2θ ≤ 80°:
- 2.486 Å, 36.12°, I 100
- 2.402 Å, 37.44°, I 95
- 2.386 Å, 37.70°, I 49
- 2.336 Å, 38.54°, I 47
- 1.669 Å, 55.02°, I 33
- 5.874 Å, 15.08°, I 31
- 1.366 Å, 68.73°, I 19
- 1.361 Å, 69.01°, I 16

Structure:
Cell: 2.916 4.671 5.997 Å, 90.00 101.65 90.00°
Atoms (fractional coordinates):
Y 0.000 0.000 0.000
Ta 0.442 0.000 0.514
Ta 0.722 0.500 0.292
W 0.239 0.500 0.722

=====

Structure and calculated powder XRD pattern of Rb4Hg3 (the GGA-PBE geometry in Alexandria; Cu Kα).
Peak positions follow from Bragg's law for the DFT cell and can differ from measured ones.

Largest 8 diffraction maxima, by intensity, 10° ≤ 2θ ≤ 80°:
- 4.945 Å, 17.94°, I 100
- 3.629 Å, 24.53°, I 99
- 2.859 Å, 31.29°, I 89
- 1.951 Å, 46.55°, I 73
- 3.379 Å, 26.38°, I 58
- 2.617 Å, 34.26°, I 46
- 3.003 Å, 29.75°, I 40
- 3.085 Å, 28.94°, I 33

Structure:
Cell: 15.127 15.127 5.334 Å, 90.00 90.00 120.00°
Atoms (fractional coordinates):
Rb 0.012 0.768 0.245
Rb 0.135 0.517 0.250
Rb 0.232 0.243 0.245
Rb 0.243 0.012 0.755
Rb 0.383 0.865 0.250
Rb 0.483 0.617 0.250
Rb 0.517 0.383 0.750
Rb 0.617 0.135 0.750
Rb 0.757 0.988 0.245
Rb 0.768 0.757 0.755
Rb 0.865 0.483 0.750
Rb 0.988 0.232 0.755
Hg 0.000 0.000 0.500
Hg 0.162 0.722 0.747
Hg 0.278 0.439 0.747
Hg 0.333 0.667 0.753
Hg 0.439 0.162 0.253
Hg 0.561 0.838 0.747
Hg 0.667 0.333 0.247
Hg 0.722 0.561 0.253
Hg 0.838 0.278 0.253

=====

Structure and calculated powder XRD pattern of LaNdInAu (the GGA-PBE geometry in Alexandria; Cu Kα).
Peak positions follow from Bragg's law for the DFT cell and can differ from measured ones.

Largest 8 diffraction maxima, by intensity, 10° ≤ 2θ ≤ 80°:
- 2.742 Å, 32.66°, I 100
- 2.649 Å, 33.84°, I 47
- 1.547 Å, 59.80°, I 35
- 1.602 Å, 57.53°, I 18
- 1.873 Å, 48.61°, I 17
- 8.046 Å, 11.00°, I 11
- 1.371 Å, 68.44°, I 11
- 2.012 Å, 45.07°, I 9

Structure:
Cell: 3.746 3.746 8.046 Å, 90.00 90.00 90.00°
Atoms (fractional coordinates):
La 0.000 0.000 0.000
Nd 0.000 0.000 0.536
In 0.500 0.500 0.273
Au 0.500 0.500 0.753

=====

Structure and calculated powder XRD pattern of Pu2MgFe9 (the GGA-PBE geometry in Alexandria; Cu Kα).
Peak positions follow from Bragg's law for the DFT cell and can differ from measured ones.

Largest 8 diffraction maxima, by intensity, 10° ≤ 2θ ≤ 80°:
- 8.273 Å, 10.69°, I 100
- 2.096 Å, 43.15°, I 90
- 2.602 Å, 34.47°, I 61
- 2.432 Å, 36.97°, I 50
- 2.061 Å, 43.92°, I 48
- 2.333 Å, 38.59°, I 37
- 1.967 Å, 46.14°, I 35
- 3.753 Å, 23.70°, I 31

Structure:
Cell: 4.864 4.864 16.546 Å, 90.00 90.00 120.00°
Atoms (fractional coordinates):
Pu 0.333 0.667 0.031
Pu 0.333 0.667 0.469
Pu 0.667 0.333 0.531
Pu 0.667 0.333 0.969
Mg 0.333 0.667 0.250
Mg 0.667 0.333 0.750
Fe 0.000 0.000 0.000
Fe 0.000 0.000 0.250
Fe 0.000 0.000 0.500
Fe 0.000 0.000 0.750
Fe 0.167 0.334 0.630
Fe 0.167 0.334 0.870
Fe 0.167 0.833 0.630
Fe 0.167 0.833 0.870
Fe 0.333 0.667 0.750
Fe 0.334 0.167 0.130
Fe 0.334 0.167 0.370
Fe 0.666 0.833 0.630
Fe 0.666 0.833 0.870
Fe 0.667 0.333 0.250
Fe 0.833 0.167 0.130
Fe 0.833 0.167 0.370
Fe 0.833 0.666 0.130
Fe 0.833 0.666 0.370

=====

Structure and calculated powder XRD pattern of PrHo2ScSb4 (the GGA-PBE geometry in Alexandria; Cu Kα).
Peak positions follow from Bragg's law for the DFT cell and can differ from measured ones.

Largest 8 diffraction maxima, by intensity, 10° ≤ 2θ ≤ 80°:
- 3.100 Å, 28.80°, I 100
- 2.185 Å, 41.31°, I 74
- 3.081 Å, 28.98°, I 49
- 1.786 Å, 51.14°, I 40
- 2.192 Å, 41.18°, I 38
- 1.386 Å, 67.62°, I 34
- 1.264 Å, 75.14°, I 25
- 1.380 Å, 67.94°, I 16

Structure:
Cell: 7.563 6.200 7.563 Å, 65.80 48.40 65.80°
Atoms (fractional coordinates):
Pr 0.000 0.000 0.000
Ho 0.249 0.249 0.251
Ho 0.749 0.749 0.751
Sc 0.500 0.500 0.500
Sb 0.000 0.500 0.000
Sb 0.259 0.739 0.261
Sb 0.500 0.000 0.500
Sb 0.739 0.259 0.741

=====

Structure and calculated powder XRD pattern of Ba5Sc6O14 (the GGA-PBE geometry in Alexandria; Cu Kα).
Peak positions follow from Bragg's law for the DFT cell and can differ from measured ones.

Largest 8 diffraction maxima, by intensity, 10° ≤ 2θ ≤ 80°:
- 3.371 Å, 26.44°, I 100
- 3.264 Å, 27.32°, I 99
- 5.890 Å, 15.04°, I 32
- 4.111 Å, 21.62°, I 32
- 3.312 Å, 26.92°, I 31
- 1.634 Å, 56.29°, I 27
- 2.986 Å, 29.92°, I 26
- 2.839 Å, 31.51°, I 24

Structure:
Cell: 8.987 8.987 11.780 Å, 90.00 90.00 86.61°
Atoms (fractional coordinates):
Ba 0.022 0.978 0.500
Ba 0.187 0.532 0.454
Ba 0.219 0.468 0.024
Ba 0.468 0.219 0.524
Ba 0.468 0.813 0.454
Ba 0.532 0.187 0.954
Ba 0.532 0.781 0.024
Ba 0.781 0.532 0.524
Ba 0.813 0.468 0.954
Ba 0.978 0.022 0.000
Sc 0.007 0.711 0.766
Sc 0.144 0.344 0.735
Sc 0.202 0.798 0.207
Sc 0.289 0.993 0.766
Sc 0.344 0.144 0.235
Sc 0.488 0.512 0.730
Sc 0.512 0.488 0.230
Sc 0.656 0.856 0.735
Sc 0.711 0.007 0.266
Sc 0.798 0.202 0.707
Sc 0.856 0.656 0.235
Sc 0.993 0.289 0.266
O 0.008 0.304 0.100
O 0.018 0.727 0.134
O 0.061 0.508 0.835
O 0.128 0.872 0.823
O 0.196 0.249 0.338
O 0.197 0.803 0.372
O 0.249 0.196 0.838
O 0.273 0.982 0.134
O 0.304 0.008 0.600
O 0.308 0.434 0.649
O 0.360 0.640 0.170
O 0.434 0.308 0.149
O 0.492 0.939 0.835
O 0.498 0.502 0.897
O 0.502 0.498 0.397
O 0.508 0.061 0.335
O 0.566 0.692 0.649
O 0.640 0.360 0.670
O 0.692 0.566 0.149
O 0.696 0.992 0.100
O 0.727 0.018 0.634
O 0.751 0.804 0.338
O 0.803 0.197 0.872
O 0.804 0.751 0.838
O 0.872 0.128 0.323
O 0.939 0.492 0.335
O 0.982 0.273 0.634
O 0.992 0.696 0.600

=====

Structure and calculated powder XRD pattern of Zn4Cu3Au2 (the GGA-PBE geometry in Alexandria; Cu Kα).
Peak positions follow from Bragg's law for the DFT cell and can differ from measured ones.

Largest 8 diffraction maxima, by intensity, 10° ≤ 2θ ≤ 80°:
- 2.244 Å, 40.18°, I 100
- 2.227 Å, 40.51°, I 99
- 5.811 Å, 15.25°, I 35
- 1.959 Å, 46.36°, I 32
- 1.937 Å, 46.90°, I 32
- 1.913 Å, 47.53°, I 31
- 1.369 Å, 68.56°, I 29
- 1.361 Å, 69.00°, I 19

Structure:
Cell: 6.180 6.180 6.111 Å, 107.09 107.09 36.06°
Atoms (fractional coordinates):
Zn 0.053 0.053 0.339
Zn 0.278 0.278 0.665
Zn 0.722 0.722 0.335
Zn 0.947 0.947 0.661
Cu 0.392 0.392 0.353
Cu 0.500 0.500 0.000
Cu 0.608 0.608 0.647
Au 0.158 0.158 0.994
Au 0.842 0.842 0.006

=====

Q: Which formula does entry 6 have?
A: Ba5Sc6O14

=====

What did the second record say?
Structure and calculated powder XRD pattern of Rb4Hg3 (the GGA-PBE geometry in Alexandria; Cu Kα).
Peak positions follow from Bragg's law for the DFT cell and can differ from measured ones.

Largest 8 diffraction maxima, by intensity, 10° ≤ 2θ ≤ 80°:
- 4.945 Å, 17.94°, I 100
- 3.629 Å, 24.53°, I 99
- 2.859 Å, 31.29°, I 89
- 1.951 Å, 46.55°, I 73
- 3.379 Å, 26.38°, I 58
- 2.617 Å, 34.26°, I 46
- 3.003 Å, 29.75°, I 40
- 3.085 Å, 28.94°, I 33

Structure:
Cell: 15.127 15.127 5.334 Å, 90.00 90.00 120.00°
Atoms (fractional coordinates):
Rb 0.012 0.768 0.245
Rb 0.135 0.517 0.250
Rb 0.232 0.243 0.245
Rb 0.243 0.012 0.755
Rb 0.383 0.865 0.250
Rb 0.483 0.617 0.250
Rb 0.517 0.383 0.750
Rb 0.617 0.135 0.750
Rb 0.757 0.988 0.245
Rb 0.768 0.757 0.755
Rb 0.865 0.483 0.750
Rb 0.988 0.232 0.755
Hg 0.000 0.000 0.500
Hg 0.162 0.722 0.747
Hg 0.278 0.439 0.747
Hg 0.333 0.667 0.753
Hg 0.439 0.162 0.253
Hg 0.561 0.838 0.747
Hg 0.667 0.333 0.247
Hg 0.722 0.561 0.253
Hg 0.838 0.278 0.253

=====

Q: Which formula does entry 1 have?
A: YTa2W